Diffraction record for Tl3In2Br6. The powder diffraction line list is simulated, not measured: it uses DFT lattice parameters and positions (PBE) and copper Kα.
Lines closer than 0.1° are merged.

Principal peaks in the range 2θ from 10° to 90°, in order of falling intensity:
Position (°2θ)	d (Å)	intensity
30.4	2.940	1000
21.6	4.109	401
15.7	5.636	322
44.1	2.055	311
44.8	2.025	268
23.1	3.852	254
29.7	3.012	252
31.0	2.880	250
23.2	3.833	243
31.2	2.864	234

Structure:
Lattice parameters (Å, degrees): 5.8885 5.8988 12.4637 79.65 79.21 88.39
Space group P-1 (No. 2)
Inequivalent atoms, fractional coordinates:
Tl: 0.0000 0.0000 0.0000 [1 per cell]
Tl: 0.2464 0.2497 0.6414 [2 per cell]
In: 0.4464 0.4502 0.1330 [2 per cell]
Br: 0.0601 0.5576 0.8406 [2 per cell]
Br: 0.3645 0.3802 0.3740 [2 per cell]
Br: 0.4397 0.9457 0.1599 [2 per cell]